(1)
This entry pairs a crystal structure of DyNp2Pt9 with its computed X-ray powder pattern. Radiation: copper Kα. Structure: a cell relaxed with GGA-PBE.
Lines closer than 0.1° are merged.

Crystal structure
a b c (Å): 4.1390 4.1390 12.4414
angles (deg): 90.00 90.00 90.00
Fractional positions:
1 Dy 0.0000 0.0000 0.0000
2 Np 0.0000 0.0000 0.3320
3 Np 0.0000 0.0000 0.6680
4 Pt 0.0000 0.5000 0.1673
5 Pt 0.0000 0.5000 0.5000
6 Pt 0.0000 0.5000 0.8327
7 Pt 0.5000 0.0000 0.1673
8 Pt 0.5000 0.0000 0.5000
9 Pt 0.5000 0.0000 0.8327
10 Pt 0.5000 0.5000 0.0000
11 Pt 0.5000 0.5000 0.3329
12 Pt 0.5000 0.5000 0.6671

Peak list (6 most intense, 15 to 90 degrees two-theta, by intensity)
two_theta	intensity
37.62	100
43.71	50
63.54	33
76.29	26
76.16	13
80.30	12

***

(2)
This entry pairs a crystal structure of NaLa8Se12 with its computed X-ray powder pattern. Radiation: copper Kα. Structure: a cell relaxed with GGA-PBE.
Lines closer than 0.1° are merged.

Crystal structure
a b c (Å): 15.1034 15.1034 15.1034
angles (deg): 144.96 144.96 50.39
Fractional positions:
1 Na 0.0000 0.0000 0.0000
2 Na 0.7500 0.2500 0.5000
3 La 0.0366 0.6591 0.1153
4 La 0.0787 0.9634 0.6225
5 La 0.0834 0.5834 0.5000
6 La 0.2062 0.5909 0.8775
7 La 0.3334 0.3334 0.0000
8 La 0.3409 0.4562 0.3775
9 La 0.3750 0.0049 0.1299
10 La 0.4091 0.2866 0.6153
11 La 0.4166 0.9166 0.5000
12 La 0.5438 0.9213 0.8847
13 La 0.6666 0.6666 0.0000
14 La 0.6713 0.7938 0.3847
15 La 0.7134 0.3287 0.1225
16 La 0.7549 0.6250 0.6299
17 La 0.8750 0.2451 0.8701
18 La 0.9951 0.1250 0.3701
19 Se 0.0085 0.6088 0.2510
20 Se 0.0291 0.9238 0.7470
21 Se 0.0321 0.4269 0.7530
22 Se 0.0602 0.3109 0.9030
23 Se 0.0609 0.3102 0.4030
24 Se 0.0762 0.8231 0.1053
25 Se 0.1769 0.2821 0.2530
26 Se 0.2425 0.9915 0.6003
27 Se 0.3422 0.9391 0.2494
28 Se 0.3578 0.7575 0.7490
29 Se 0.3588 0.2585 0.7510
30 Se 0.3912 0.6422 0.3997
31 Se 0.3922 0.6412 0.8997
32 Se 0.4078 0.1572 0.0970
33 Se 0.5075 0.6078 0.2490
34 Se 0.5731 0.3262 0.6053
35 Se 0.6738 0.2791 0.2470
36 Se 0.6891 0.5922 0.7494
37 Se 0.6898 0.0928 0.7506
38 Se 0.7179 0.9709 0.8947
39 Se 0.7209 0.9679 0.3947
40 Se 0.7415 0.4925 0.1003
41 Se 0.8428 0.9398 0.2506
42 Se 0.9072 0.6578 0.5970

Peak list (10 most intense, 15 to 90 degrees two-theta, by intensity)
two_theta	intensity
31.08	100
36.96	67
44.53	21
23.95	19
63.01	15
46.83	14
62.93	14
66.61	14
77.04	13
49.05	12

***

(3)
This entry pairs a crystal structure of SmDyCF with its computed X-ray powder pattern. Radiation: copper Kα. Structure: a cell relaxed with GGA-PBE.
Lines closer than 0.1° are merged.

Crystal structure
a b c (Å): 5.1147 4.1993 7.2916
angles (deg): 90.00 90.00 90.00
Fractional positions:
1 Sm 0.0000 0.0000 0.0000
2 Sm 0.0000 0.5000 0.5000
3 Dy 0.5000 0.0000 0.6675
4 Dy 0.5000 0.5000 0.1675
5 C 0.5000 0.0000 0.0006
6 C 0.5000 0.5000 0.5006
7 F 0.0000 0.0000 0.6671
8 F 0.0000 0.5000 0.1671

Peak list (10 most intense, 15 to 90 degrees two-theta, by intensity)
two_theta	intensity
30.13	100
24.45	43
43.03	37
56.68	33
35.09	22
53.42	21
43.23	19
59.91	15
70.87	12
89.77	9

***

(4)
This entry pairs a crystal structure of SrSmCrN3 with its computed X-ray powder pattern. Radiation: copper Kα. Structure: a cell relaxed with GGA-PBE.
Lines closer than 0.1° are merged.

Crystal structure
a b c (Å): 6.8689 6.8689 7.2762
angles (deg): 105.14 105.14 32.04
Fractional positions:
1 Sr 0.1416 0.1416 0.0751
2 Sr 0.8584 0.8584 0.9249
3 Sm 0.1529 0.1529 0.5712
4 Sm 0.8471 0.8471 0.4288
5 Cr 0.4960 0.4960 0.2888
6 Cr 0.5040 0.5040 0.7112
7 N 0.0035 0.0035 0.2861
8 N 0.3440 0.3440 0.6562
9 N 0.3555 0.3555 0.1895
10 N 0.6445 0.6445 0.8105
11 N 0.6560 0.6560 0.3438
12 N 0.9965 0.9965 0.7139

Peak list (10 most intense, 15 to 90 degrees two-theta, by intensity)
two_theta	intensity
34.16	100
31.68	77
32.38	43
32.50	42
59.13	30
48.00	23
42.69	21
28.09	21
44.86	19
24.51	18

***

(5)
This entry pairs a crystal structure of ZrAl2Au8 with its computed X-ray powder pattern. Radiation: copper Kα. Structure: a cell relaxed with GGA-PBE.
Lines closer than 0.1° are merged.

Crystal structure
a b c (Å): 7.3154 7.3154 7.0763
angles (deg): 114.88 114.88 35.30
Fractional positions:
1 Zr 0.0000 0.0000 0.0000
2 Al 0.2801 0.2801 0.3351
3 Al 0.7199 0.7199 0.6649
4 Au 0.1088 0.1088 0.4629
5 Au 0.1803 0.1803 0.9133
6 Au 0.3475 0.3475 0.7705
7 Au 0.4570 0.4570 0.2611
8 Au 0.5430 0.5430 0.7389
9 Au 0.6525 0.6525 0.2295
10 Au 0.8197 0.8197 0.0867
11 Au 0.8912 0.8912 0.5371

Peak list (10 most intense, 15 to 90 degrees two-theta, by intensity)
two_theta	intensity
38.16	100
38.03	96
40.68	45
39.50	44
57.99	29
51.84	17
72.36	16
23.69	15
72.28	15
67.90	15

***

(6)
This entry pairs a crystal structure of Pm4Pr8Ho3 with its computed X-ray powder pattern. Radiation: copper Kα. Structure: a cell relaxed with GGA-PBE.
Lines closer than 0.1° are merged.

Crystal structure
a b c (Å): 12.7819 12.7819 12.7819
angles (deg): 32.28 32.28 32.28
Fractional positions:
1 Pm 0.0000 0.0000 0.0000
2 Pm 0.1639 0.1639 0.1639
3 Pm 0.5000 0.5000 0.5000
4 Pm 0.8361 0.8361 0.8361
5 Pr 0.2497 0.2497 0.7469
6 Pr 0.2497 0.7469 0.2497
7 Pr 0.2531 0.7503 0.7503
8 Pr 0.2543 0.2543 0.2543
9 Pr 0.7457 0.7457 0.7457
10 Pr 0.7469 0.2497 0.2497
11 Pr 0.7503 0.2531 0.7503
12 Pr 0.7503 0.7503 0.2531
13 Ho 0.0000 0.5000 0.5000
14 Ho 0.5000 0.0000 0.5000
15 Ho 0.5000 0.5000 0.0000

Peak list (10 most intense, 15 to 90 degrees two-theta, by intensity)
two_theta	intensity
30.68	100
35.24	73
29.51	66
60.42	46
51.43	38
29.13	28
49.92	28
26.14	19
59.07	18
84.01	17

***

(7)
This entry pairs a crystal structure of YScU2S4 with its computed X-ray powder pattern. Radiation: copper Kα. Structure: a cell relaxed with GGA-PBE.
Lines closer than 0.1° are merged.

Crystal structure
a b c (Å): 6.6491 3.7813 6.7350
angles (deg): 90.00 108.65 90.00
Fractional positions:
1 Y 0.0000 0.0000 0.0000
2 Sc 0.5000 0.5000 0.0000
3 U 0.0000 0.5000 0.5000
4 U 0.5000 0.0000 0.5000
5 S 0.2561 0.5000 0.2437
6 S 0.2622 0.0000 0.7618
7 S 0.7378 0.0000 0.2382
8 S 0.7439 0.5000 0.7563

Peak list (10 most intense, 15 to 90 degrees two-theta, by intensity)
two_theta	intensity
32.97	100
28.76	37
47.08	24
47.56	23
27.51	21
27.96	20
28.33	19
46.54	12
59.57	12
69.17	12

***

(8)
This entry pairs a crystal structure of Sc2S3 with its computed X-ray powder pattern. Radiation: copper Kα. Structure: a cell relaxed with GGA-PBE.
Lines closer than 0.1° are merged.

Crystal structure
a b c (Å): 12.2416 11.6806 6.4070
angles (deg): 79.36 69.68 30.96
Fractional positions:
1 Sc 0.0415 0.0415 0.2085
2 Sc 0.1273 0.1273 0.6227
3 Sc 0.2085 0.2085 0.0415
4 Sc 0.3773 0.3773 0.8727
5 Sc 0.6227 0.6227 0.1273
6 Sc 0.7915 0.7915 0.9585
7 Sc 0.8727 0.8727 0.3773
8 Sc 0.9585 0.9585 0.7915
9 S 0.0480 0.5406 0.1930
10 S 0.1159 0.6341 0.6341
11 S 0.1930 0.7184 0.0480
12 S 0.2816 0.8070 0.4594
13 S 0.3659 0.8841 0.8841
14 S 0.4594 0.9520 0.2816
15 S 0.5406 0.0480 0.7184
16 S 0.6341 0.1159 0.1159
17 S 0.7184 0.1930 0.5406
18 S 0.8070 0.2816 0.9520
19 S 0.8841 0.3659 0.3659
20 S 0.9520 0.4594 0.8070

Peak list (10 most intense, 15 to 90 degrees two-theta, by intensity)
two_theta	intensity
34.24	100
49.31	79
34.37	50
15.17	45
82.62	19
61.23	16
49.02	16
61.55	15
82.40	13
24.91	11